# 1
# Tm2HRh6
Simulated powder diffraction line list, λ = 1.5418 Å (Cu Kα). Input: a structure optimized by DFT (PBE).

Crystal structure
a = 5.6978 Å, b = 5.6978 Å, c = 5.6978 Å
α = 119.67°, β = 119.67°, γ = 90.57°
Element x y z (fractional)
1 Tm 0.2500 0.7500 0.5000
2 Tm 0.7500 0.2500 0.5000
3 H 0.0000 0.0000 0.0000
4 Rh 0.2519 0.2519 0.5039
5 Rh 0.2519 0.7481 0.0000
6 Rh 0.2529 0.2529 0.0000
7 Rh 0.7471 0.7471 0.0000
8 Rh 0.7481 0.2519 0.0000
9 Rh 0.7481 0.7481 0.4961

Main lines, low angle first (10 to 90 degrees two-theta):
d/Å, I/Imax
2.330, 100.0
2.025, 33.0
2.004, 16.0
1.432, 10.6
1.424, 20.9
1.220, 24.8
1.211, 12.1
1.165, 10.8

# 2
# Y4C4I3Br
Simulated powder diffraction line list, λ = 1.5418 Å (Cu Kα). Input: a structure optimized by DFT (PBE).

Crystal structure
a = 4.1268 Å, b = 4.1268 Å, c = 22.4294 Å
α = 93.22°, β = 93.22°, γ = 56.32°
Element x y z (fractional)
1 Y 0.0000 0.0000 0.0000
2 Y 0.0029 0.0029 0.5062
3 Y 0.7090 0.7090 0.8757
4 Y 0.7127 0.7127 0.3822
5 C 0.2781 0.2781 0.9526
6 C 0.2809 0.2809 0.4587
7 C 0.4312 0.4312 0.9231
8 C 0.4346 0.4346 0.4297
9 I 0.0326 0.0326 0.2877
10 I 0.6796 0.6796 0.0946
11 I 0.6830 0.6830 0.6006
12 Br 0.0383 0.0383 0.7926

Main lines, low angle first (10 to 90 degrees two-theta):
d/Å, I/Imax
5.596, 38.4
3.433, 41.8
3.139, 72.8
2.965, 40.1
2.887, 100.0
2.201, 30.0
2.056, 41.0
1.655, 21.3

# 3
# CePmTe2
Simulated powder diffraction line list, λ = 1.5418 Å (Cu Kα). Input: a structure optimized by DFT (PBE).

Crystal structure
a = 8.2938 Å, b = 8.2938 Å, c = 8.2938 Å
α = 30.24°, β = 30.24°, γ = 30.24°
Element x y z (fractional)
1 Ce 0.0000 0.0000 0.0000
2 Pm 0.8259 0.8259 0.8259
3 Te 0.4130 0.4130 0.4130
4 Te 0.5794 0.5794 0.5794

Main lines, low angle first (10 to 90 degrees two-theta):
d/Å, I/Imax
3.573, 37.5
2.941, 100.0
2.514, 54.4
2.163, 56.6
1.743, 21.5
1.459, 30.7
1.357, 18.6
1.307, 23.1